1.
For TmBe14, a DFT-relaxed cell (PBE, OQMD) gives the calculated powder diffraction line list in this record (a wavelength of 1.5418 Å).

Structure:
```
TmBe14
1.0
3.364 1.942 3.904
-3.364 1.942 3.904
0.000 -3.885 3.904
Tm Be
1 14
direct
0.000 0.000 0.000
0.158 0.500 0.842
0.158 0.842 0.500
0.213 0.213 0.213
0.237 0.237 0.565
0.237 0.565 0.237
0.435 0.763 0.763
0.500 0.158 0.842
0.500 0.842 0.158
0.565 0.237 0.237
0.763 0.435 0.763
0.763 0.763 0.435
0.787 0.787 0.787
0.842 0.158 0.500
0.842 0.500 0.158
```

Main lines, low angle first (2θ from 15° to 90°):
17.0°, I = 1000; 21.5°, I = 492; 22.8°, I = 161; 26.5°, I = 354; 31.6°, I = 208; 34.3°, I = 178; 35.2°, I = 414; 41.7°, I = 292; 43.9°, I = 319; 52.0°, I = 162


2.
For Tb4PdPt3, a DFT-relaxed cell (PBE, OQMD) gives the calculated powder diffraction line list in this record (a wavelength of 1.5418 Å).

Structure:
```
Tb4PdPt3
1.0
5.614 0.000 0.000
0.000 4.514 0.000
-0.014 0.000 7.083
Tb Pd Pt
4 1 3
direct
0.000 0.000 0.000
0.216 0.000 0.499
0.496 0.500 0.866
0.719 0.500 0.359
0.704 0.000 0.637
0.008 0.500 0.724
0.204 0.500 0.227
0.515 0.000 0.137
```

Main lines, low angle first (2θ from 15° to 90°):
28.3°, I = 152; 32.1°, I = 534; 34.4°, I = 348; 36.0°, I = 706; 39.9°, I = 1000; 41.5°, I = 159; 53.7°, I = 197; 54.3°, I = 167; 59.0°, I = 114; 69.5°, I = 160


3.
For HoH9C5N2O8, a DFT-relaxed cell (PBE, OQMD) gives the calculated powder diffraction line list in this record (a wavelength of 1.5418 Å).

Structure:
```
HoH9C5N2O8
1.0
3.293 -9.151 0.000
3.293 9.151 0.000
0.000 0.000 8.280
Ho H C N O
2 18 10 4 16
direct
0.142 0.858 0.750
0.858 0.142 0.250
0.076 0.498 0.560
0.167 0.353 0.902
0.248 0.248 0.500
0.314 0.686 0.250
0.332 0.344 0.827
0.344 0.332 0.173
0.345 0.655 0.750
0.353 0.167 0.098
0.498 0.076 0.440
0.502 0.924 0.940
0.647 0.833 0.598
0.655 0.345 0.250
0.656 0.668 0.673
0.668 0.656 0.327
0.686 0.314 0.750
0.752 0.752 0.000
0.833 0.647 0.402
0.924 0.502 0.060
0.011 0.524 0.473
0.080 0.080 0.500
0.374 0.626 0.250
0.405 0.595 0.750
0.476 0.989 0.027
0.524 0.011 0.527
0.595 0.405 0.250
0.626 0.374 0.750
0.920 0.920 0.000
0.989 0.476 0.973
0.296 0.420 0.834
0.420 0.296 0.166
0.580 0.704 0.666
0.704 0.580 0.334
0.010 0.648 0.514
0.038 0.935 0.569
0.061 0.575 0.839
0.065 0.962 0.931
0.240 0.426 0.274
0.352 0.990 0.986
0.425 0.939 0.661
0.426 0.240 0.726
0.574 0.760 0.226
0.575 0.061 0.161
0.648 0.010 0.486
0.760 0.574 0.774
0.935 0.038 0.431
0.939 0.425 0.339
0.962 0.065 0.069
0.990 0.352 0.014
```

Main lines, low angle first (2θ from 15° to 90°):
17.9°, I = 1000; 19.8°, I = 296; 21.5°, I = 201; 22.6°, I = 181; 29.1°, I = 339; 29.4°, I = 298; 29.9°, I = 182; 30.8°, I = 327; 33.5°, I = 176; 43.2°, I = 177


4.
For Lu2Nb4Zn3N3, a DFT-relaxed cell (PBE, OQMD) gives the calculated powder diffraction line list in this record (a wavelength of 1.5418 Å).

Structure:
```
Lu2Nb4Zn3N3
1.0
4.786 -2.770 0.000
4.786 2.770 0.000
-3.198 0.000 13.703
Lu Nb Zn N
4 8 6 6
direct
0.037 0.877 0.611
0.123 0.963 0.889
0.877 0.037 0.111
0.963 0.123 0.389
0.194 0.359 0.080
0.305 0.474 0.420
0.359 0.194 0.580
0.474 0.305 0.920
0.526 0.695 0.080
0.641 0.806 0.420
0.695 0.526 0.580
0.806 0.641 0.920
0.085 0.397 0.750
0.397 0.085 0.250
0.434 0.566 0.250
0.566 0.434 0.750
0.603 0.915 0.750
0.915 0.603 0.250
0.000 0.500 0.500
0.158 0.684 0.000
0.316 0.842 0.500
0.500 0.000 0.000
0.684 0.158 0.500
0.842 0.316 0.000
```

Main lines, low angle first (2θ from 15° to 90°):
30.3°, I = 79; 32.4°, I = 171; 33.0°, I = 242; 34.0°, I = 86; 38.0°, I = 1000; 39.5°, I = 180; 42.0°, I = 140; 51.9°, I = 83; 57.7°, I = 183; 64.3°, I = 108


5.
For Ho8Te, a DFT-relaxed cell (PBE, OQMD) gives the calculated powder diffraction line list in this record (a wavelength of 1.5418 Å).

Structure:
```
Ho8Te
1.0
9.166 0.000 0.000
-4.583 7.938 0.000
0.000 0.000 3.756
Ho Te
8 1
direct
0.000 0.274 0.000
0.000 0.616 0.500
0.274 0.000 0.000
0.333 0.667 0.000
0.384 0.384 0.500
0.616 0.000 0.500
0.667 0.333 0.000
0.726 0.726 0.000
0.000 0.000 0.500
```

Main lines, low angle first (2θ from 15° to 90°):
29.8°, I = 393; 30.8°, I = 1000; 32.8°, I = 553; 33.9°, I = 781; 38.4°, I = 279; 46.4°, I = 134; 48.5°, I = 158; 56.1°, I = 369; 60.4°, I = 297; 63.6°, I = 131